Theoretical powder diffraction line list of Rb2LaNb2ClO7 for a wavelength of 1.5418 Å, from DFT lattice parameters and positions (PBE).
Intensities are scaled so that the largest is 100.

Structural model:
Cell: 3.9290 3.9290 15.1854 Å, 90.00 90.00 90.00°
Positions (direct):
1 Rb 0.0000 0.0000 0.1336
2 Rb 0.0000 0.0000 0.8664
3 La 0.0000 0.0000 0.5000
4 Nb 0.5000 0.5000 0.3471
5 Nb 0.5000 0.5000 0.6529
6 Cl 0.5000 0.5000 0.0000
7 O 0.0000 0.5000 0.3760
8 O 0.0000 0.5000 0.6240
9 O 0.5000 0.0000 0.3760
10 O 0.5000 0.0000 0.6240
11 O 0.5000 0.5000 0.2280
12 O 0.5000 0.5000 0.5000
13 O 0.5000 0.5000 0.7720

Most intense lines, 2θ from 10° to 90°, sorted by position:
h k l, Position (°2θ), I (rel.)
1 0 2, 25.53, 16
1 0 3, 28.76, 100
1 1 0, 32.22, 46
2 0 0, 46.21, 25
1 1 6, 48.67, 16
2 1 3, 55.35, 31